(1)
Structure and simulated PXRD pattern of Rb2CeCuO4 (a crystal structure in Alexandria, relaxed with GGA-PBE; copper Kα).
Kinematic intensities with the Lorentz-polarization factor, no thermal factor.

Atomic structure:
```
data_Rb2CeCuO4
_space_group_name_H-M_alt 'I -4'
_space_group_IT_number 82
_cell_length_a 6.3256
_cell_length_b 6.3256
_cell_length_c 7.5906
_cell_angle_alpha 90.00
_cell_angle_beta 90.00
_cell_angle_gamma 90.00
loop_
_space_group_symop_operation_xyz
'x,y,z'
'y,-x,-z'
'-x,-y,z'
'-y,x,-z'
'x+1/2,y+1/2,z+1/2'
'y+1/2,-x+1/2,-z+1/2'
'-x+1/2,-y+1/2,z+1/2'
'-y+1/2,x+1/2,-z+1/2'
loop_
_atom_site_label
_atom_site_type_symbol
_atom_site_fract_x
_atom_site_fract_y
_atom_site_fract_z
Rb1 Rb 0.0000 0.0000 0.0000
Rb2 Rb 0.0000 0.5000 0.2500
Ce1 Ce 0.0000 0.5000 0.7500
Cu1 Cu 0.0000 0.0000 0.5000
O1 O 0.1375 0.7415 0.5910
```

The 10 most intense peaks (2θ = 5–70°), sorted by position:
18.3°, intensity 108, hkl 1 0 1
28.2°, intensity 502, hkl 2 0 0
30.9°, intensity 1000, hkl 1 1 2
40.3°, intensity 249, hkl 2 2 0
51.7°, intensity 459, hkl 3 1 2
56.6°, intensity 192, hkl 2 0 4
58.4°, intensity 78, hkl 4 0 0
64.4°, intensity 112, hkl 2 2 4
66.1°, intensity 118, hkl 2 4 0
67.5°, intensity 99, hkl 3 3 2



(2)
Structure and simulated PXRD pattern of CeCu3Rh4O12 (a crystal structure in Alexandria, relaxed with GGA-PBE; copper Kα).
Kinematic intensities with the Lorentz-polarization factor, no thermal factor.

Atomic structure:
```
data_CeCu3Rh4O12
_space_group_name_H-M_alt 'I m -3'
_space_group_IT_number 204
_space_group_name_Hall '-I 2 2 3'
_cell_length_a 7.5332
_cell_length_b 7.5332
_cell_length_c 7.5332
_cell_angle_alpha 90.00
_cell_angle_beta 90.00
_cell_angle_gamma 90.00
loop_
_atom_site_label
_atom_site_type_symbol
_atom_site_fract_x
_atom_site_fract_y
_atom_site_fract_z
Ce1 Ce 0.0000 0.0000 0.0000
Cu1 Cu 0.0000 0.0000 0.5000
Rh1 Rh 0.2500 0.2500 0.2500
O1 O 0.0000 0.1631 0.3027
```

The 10 most intense peaks (2θ = 5–70°), sorted by position:
16.6°, intensity 57, hkl 1 1 0
23.6°, intensity 23, hkl 2 0 0
29.0°, intensity 9, hkl 2 1 1
33.7°, intensity 1000, hkl 2 2 0
37.8°, intensity 47, hkl 3 1 0
45.0°, intensity 45, hkl 3 2 1
48.3°, intensity 230, hkl 4 0 0
54.5°, intensity 15, hkl 4 0 2
60.2°, intensity 463, hkl 4 2 2
62.9°, intensity 10, hkl 4 1 3



(3)
Structure and simulated PXRD pattern of Sr2CeYCu2RuO10 (a crystal structure in Alexandria, relaxed with GGA-PBE; copper Kα).
Kinematic intensities with the Lorentz-polarization factor, no thermal factor.

Atomic structure:
```
data_Sr2CeYCu2RuO10
_space_group_name_H-M_alt 'I 4 m m'
_space_group_IT_number 107
_space_group_name_Hall 'I 4 -2'
_cell_length_a 3.8446
_cell_length_b 3.8446
_cell_length_c 29.1944
_cell_angle_alpha 90.00
_cell_angle_beta 90.00
_cell_angle_gamma 90.00
loop_
_atom_site_label
_atom_site_type_symbol
_atom_site_fract_x
_atom_site_fract_y
_atom_site_fract_z
Sr1 Sr 0.0000 0.0000 0.0000
Sr2 Sr 0.0000 0.0000 0.1595
Ce1 Ce 0.0000 0.0000 0.2888
Y1 Y 0.0000 0.0000 0.8763
Cu1 Cu 0.0000 0.0000 0.4365
Cu2 Cu 0.0000 0.0000 0.7261
Ru1 Ru 0.0000 0.0000 0.5816
O1 O 0.0000 0.0000 0.5124
O2 O 0.0000 0.0000 0.6518
O3 O 0.0000 0.5000 0.0822
O4 O 0.0000 0.5000 0.2345
O5 O 0.0000 0.5000 0.3312
O6 O 0.0000 0.5000 0.4294
```

The 10 most intense peaks (2θ = 5–70°), sorted by position:
24.9°, intensity 115, hkl 1 0 3
31.7°, intensity 1000, hkl 1 0 7
32.9°, intensity 388, hkl 1 1 0
43.4°, intensity 114, hkl 0 0 14
45.6°, intensity 85, hkl 1 1 10
47.3°, intensity 295, hkl 2 0 0
55.5°, intensity 164, hkl 1 1 14
58.0°, intensity 349, hkl 2 1 7
66.1°, intensity 121, hkl 2 0 14
69.1°, intensity 86, hkl 2 2 0